[1]
Computed powder XRD pattern of CaAs12Os4 for Cu Kα, 1.54184 Å, from a PBE-relaxed structure.
Lines closer than 0.1° are merged.

Cell lengths 8.6335, 8.6335, 8.6335 Å; angles 90.00, 90.00, 90.00 degrees
Space group Im-3 (No. 204)
Symmetry-distinct sites (fractional):
1 Ca 0.0000 0.0000 0.0000
2 As 0.0000 0.3486 0.1489
3 Os 0.2500 0.2500 0.2500

Top 12 peaks for 2θ from 10° to 90°, low angle first:
2θ/deg  d (Å)  I_rel
20.57  4.317  767
29.26  3.052  750
32.80  2.730  788
36.04  2.492  280
39.04  2.307  247
47.07  1.931  1000
51.88  1.762  749
54.17  1.693  287
68.77  1.365  255
72.64  1.302  205
76.43  1.246  161
80.17  1.197  187



[2]
Computed powder XRD pattern of Ca3As3P for Cu Kα, 1.54184 Å, from a PBE-relaxed structure.
Lines closer than 0.1° are merged.

Cell lengths 18.6829, 6.2371, 12.2033 Å; angles 90.00, 90.00, 90.00 degrees
Space group Cmce (No. 64)
Symmetry-distinct sites (fractional):
1 Ca 0.0000 0.2007 0.1393
2 Ca 0.1738 0.1869 0.8681
3 As 0.0000 0.2253 0.3822
4 As 0.1652 0.2077 0.6224
5 P 0.0929 0.0000 0.5000

Top 12 peaks for 2θ from 10° to 90°, low angle first:
2θ/deg  d (Å)  I_rel
24.92  3.573  357
28.65  3.116  1000
29.27  3.051  547
31.11  2.875  135
40.96  2.203  439
41.42  2.180  993
48.54  1.875  147
51.14  1.786  299
60.71  1.526  131
68.49  1.370  133
74.93  1.267  167
75.86  1.254  120



[3]
Computed powder XRD pattern of CaAs2P2Pd7 for Cu Kα, 1.54184 Å, from a PBE-relaxed structure.
Lines closer than 0.1° are merged.

Cell lengths 5.9599, 7.1181, 10.8315 Å; angles 90.00, 104.67, 90.00 degrees
Space group C2/m (No. 12)
Symmetry-distinct sites (fractional):
1 Ca 0.0000 0.0000 0.0000
2 As 0.1493 0.0000 0.3409
3 P 0.0024 0.5000 0.7809
4 Pd 0.0000 0.5000 0.0000
5 Pd 0.1821 0.2062 0.7897
6 Pd 0.2331 0.0000 0.5758

Top 12 peaks for 2θ from 10° to 90°, low angle first:
2θ/deg  d (Å)  I_rel
16.92  5.239  350
19.96  4.448  488
30.36  2.944  724
34.28  2.616  383
34.98  2.565  281
36.03  2.493  479
39.44  2.284  1000
40.23  2.241  290
42.91  2.108  310
43.16  2.096  404
43.31  2.089  340
51.30  1.781  429



[4]
Computed powder XRD pattern of CaAsPS2 for Cu Kα, 1.54184 Å, from a PBE-relaxed structure.
Lines closer than 0.1° are merged.

Cell lengths 4.8614, 4.8614, 4.7120 Å; angles 90.00, 90.00, 90.00 degrees
Space group P4/mmm (No. 123)
Symmetry-distinct sites (fractional):
1 Ca 0.0000 0.0000 0.0000
2 As 0.5000 0.5000 0.5000
3 P 0.5000 0.5000 0.0000
4 S 0.0000 0.5000 0.5000

Top 12 peaks for 2θ from 10° to 90°, low angle first:
2θ/deg  d (Å)  I_rel
18.25  4.861  584
18.83  4.712  316
25.92  3.438  387
26.34  3.383  841
32.23  2.777  249
36.98  2.431  1000
38.20  2.356  454
45.97  1.974  365
46.74  1.943  159
53.30  1.719  323
54.22  1.692  612
67.45  1.389  310



[5]
Computed powder XRD pattern of CaThAsP for Cu Kα, 1.54184 Å, from a PBE-relaxed structure.
Lines closer than 0.1° are merged.

Cell lengths 4.2102, 4.2102, 21.2230 Å; angles 90.00, 90.00, 120.00 degrees
Space group R3m (No. 160, hexagonal axes)
Symmetry-distinct sites (fractional):
1 Ca 0.0000 0.0000 0.0000
2 Th 0.0000 0.0000 0.8249
3 As 0.0000 0.0000 0.2412
4 P 0.0000 0.0000 0.4170

Top 12 peaks for 2θ from 10° to 90°, low angle first:
2θ/deg  d (Å)  I_rel
12.51  7.074  866
24.78  3.593  402
25.84  3.448  888
29.73  3.005  295
32.37  2.766  1000
38.62  2.331  504
42.97  2.105  519
44.93  2.018  249
49.71  1.834  208
54.80  1.675  224
69.41  1.354  234
72.05  1.311  198



[6]
Computed powder XRD pattern of CaZn2AsP for Cu Kα, 1.54184 Å, from a PBE-relaxed structure.
Lines closer than 0.1° are merged.

Cell lengths 5.7996, 5.7996, 13.4813 Å; angles 90.00, 90.00, 90.00 degrees
Space group I4cm (No. 108)
Symmetry-distinct sites (fractional):
1 Ca 0.0000 0.0000 0.0000
2 Zn 0.2486 0.2514 0.1970
3 As 0.0000 0.5000 0.0645
4 P 0.0000 0.0000 0.2888

Top 12 peaks for 2θ from 10° to 90°, low angle first:
2θ/deg  d (Å)  I_rel
13.13  6.741  1000
25.42  3.503  306
33.65  2.664  785
34.44  2.604  141
41.06  2.198  753
44.17  2.050  440
46.06  1.971  144
46.28  1.962  171
51.45  1.776  119
64.24  1.450  136
74.51  1.273  138
79.13  1.210  204



[7]
Computed powder XRD pattern of CaPrPa2As4 for Cu Kα, 1.54184 Å, from a PBE-relaxed structure.
Lines closer than 0.1° are merged.

Cell lengths 5.8906, 5.8906, 11.8649 Å; angles 90.00, 90.00, 90.00 degrees
Space group I-4m2 (No. 119)
Symmetry-distinct sites (fractional):
1 Ca 0.0000 0.0000 0.0000
2 Pr 0.0000 0.5000 0.7500
3 Pa 0.0000 0.0000 0.5000
4 Pa 0.0000 0.5000 0.2500
5 As 0.0000 0.0000 0.2566
6 As 0.0000 0.5000 0.0073

Top 12 peaks for 2θ from 10° to 90°, low angle first:
2θ/deg  d (Å)  I_rel
16.80  5.276  385
26.14  3.409  339
30.13  2.966  504
30.35  2.945  1000
34.89  2.572  137
43.29  2.090  752
43.45  2.083  376
53.78  1.704  399
71.18  1.325  168
71.53  1.319  170
71.65  1.317  171
79.64  1.204  255



[8]
Computed powder XRD pattern of CaScPa2As4 for Cu Kα, 1.54184 Å, from a PBE-relaxed structure.
Lines closer than 0.1° are merged.

Cell lengths 5.7614, 5.7614, 11.5392 Å; angles 90.00, 90.00, 90.00 degrees
Space group I-4m2 (No. 119)
Symmetry-distinct sites (fractional):
1 Ca 0.0000 0.0000 0.0000
2 Sc 0.0000 0.5000 0.7500
3 Pa 0.0000 0.0000 0.5000
4 Pa 0.0000 0.5000 0.2500
5 As 0.0000 0.0000 0.2531
6 As 0.0000 0.5000 0.5030

Top 12 peaks for 2θ from 10° to 90°, low angle first:
2θ/deg  d (Å)  I_rel
17.20  5.155  481
26.79  3.328  137
27.89  3.199  158
31.03  2.882  1000
35.71  2.515  170
42.20  2.141  164
44.45  2.038  743
53.30  1.719  87
55.20  1.664  261
64.72  1.440  81
73.47  1.289  334
81.87  1.177  252



[9]
Computed powder XRD pattern of CaTbPa2As4 for Cu Kα, 1.54184 Å, from a PBE-relaxed structure.
Lines closer than 0.1° are merged.

Cell lengths 5.8283, 5.8283, 11.7295 Å; angles 90.00, 90.00, 90.00 degrees
Space group I-4m2 (No. 119)
Symmetry-distinct sites (fractional):
1 Ca 0.0000 0.0000 0.0000
2 Tb 0.0000 0.5000 0.7500
3 Pa 0.0000 0.0000 0.5000
4 Pa 0.0000 0.5000 0.2500
5 As 0.0000 0.0000 0.2546
6 As 0.0000 0.5000 0.0029

Top 12 peaks for 2θ from 10° to 90°, low angle first:
2θ/deg  d (Å)  I_rel
16.99  5.219  341
26.43  3.372  359
30.48  2.932  507
30.68  2.914  1000
43.80  2.067  755
43.94  2.061  375
54.42  1.686  399
72.12  1.310  171
72.43  1.305  171
72.53  1.303  170
80.38  1.195  128
80.68  1.191  257



[10]
Computed powder XRD pattern of Ca6AsPb3 for Cu Kα, 1.54184 Å, from a PBE-relaxed structure.
Lines closer than 0.1° are merged.

Cell lengths 9.3322, 5.2990, 12.4038 Å; angles 90.00, 90.03, 90.00 degrees
Space group P2/m (No. 10)
Symmetry-distinct sites (fractional):
1 Ca 0.0198 0.0000 0.2392
2 Ca 0.1610 0.5000 0.0879
3 Ca 0.1892 0.5000 0.4127
4 Ca 0.3113 0.0000 0.9130
5 Ca 0.3394 0.0000 0.5877
6 Ca 0.4800 0.5000 0.7393
7 As 0.0000 0.0000 0.0000
8 As 0.5000 0.5000 0.5000
9 Pb 0.0000 0.0000 0.5000
10 Pb 0.1440 0.5000 0.7157
11 Pb 0.3556 0.0000 0.2166
12 Pb 0.5000 0.5000 0.0000

Top 12 peaks for 2θ from 10° to 90°, low angle first:
2θ/deg  d (Å)  I_rel
11.87  7.457  338
20.33  4.367  353
20.56  4.320  478
24.06  3.699  856
27.36  3.260  307
28.83  3.097  603
29.02  3.077  636
33.40  2.683  1000
33.83  2.650  538
41.35  2.184  206
44.65  2.029  358
45.03  2.013  361



[11]
Computed powder XRD pattern of Ca2AsPd6Pb for Cu Kα, 1.54184 Å, from a PBE-relaxed structure.
Lines closer than 0.1° are merged.

Cell lengths 5.6084, 8.8763, 8.7020 Å; angles 90.00, 90.00, 90.00 degrees
Space group Pmmn (No. 59, origin choice 2)
Symmetry-distinct sites (fractional):
1 Ca 0.2500 0.0063 0.2412
2 As 0.2500 0.7500 0.7300
3 Pd 0.0014 0.7500 0.9570
4 Pd 0.0018 0.2500 0.5092
5 Pd 0.2500 0.5027 0.5972
6 Pb 0.2500 0.2500 0.7838

Top 12 peaks for 2θ from 10° to 90°, low angle first:
2θ/deg  d (Å)  I_rel
10.17  8.702  450
18.82  4.714  979
20.01  4.438  737
27.60  3.231  449
32.96  2.718  391
37.95  2.371  345
38.18  2.357  760
40.48  2.228  790
40.66  2.219  724
43.47  2.082  1000
46.49  1.953  348
57.00  1.616  463



[12]
Computed powder XRD pattern of CaAs3Pd4 for Cu Kα, 1.54184 Å, from a PBE-relaxed structure.
Lines closer than 0.1° are merged.

Cell lengths 4.3123, 4.3123, 7.9982 Å; angles 90.00, 90.00, 90.00 degrees
Space group P4/mmm (No. 123)
Symmetry-distinct sites (fractional):
1 Ca 0.0000 0.0000 0.0000
2 As 0.0000 0.0000 0.5000
3 As 0.5000 0.5000 0.1553
4 Pd 0.0000 0.5000 0.3184

Top 12 peaks for 2θ from 10° to 90°, low angle first:
2θ/deg  d (Å)  I_rel
11.06  7.998  357
22.23  3.999  223
23.44  3.796  236
30.49  2.932  260
31.40  2.849  412
37.08  2.425  575
41.90  2.156  854
45.18  2.007  1000
60.75  1.525  277
73.35  1.291  147
78.84  1.214  382
85.67  1.134  165